(1)
K5Hg2Au: simulated powder diffraction line list (copper Kα), based on the GGA-PBE geometry in Alexandria.

Principal peaks in the range 2θ = 10–80°, low angle first:
- 2θ 17.64, rel. 100, (1 1 2)
- 2θ 21.45, rel. 30, (0 0 4)
- 2θ 22.87, rel. 31, (2 1 1)
- 2θ 27.53, rel. 76, (2 1 3)
- 2θ 29.39, rel. 30, (2 0 4)
- 2θ 31.63, rel. 43, (3 1 0)
- 2θ 36.62, rel. 29, (3 2 1)
- 2θ 38.54, rel. 28, (3 1 4)

```
data_K5Hg2Au
_chemical_formula_sum 'K20 Hg8 Au4'
_space_group_name_H-M_alt 'I 4/m c m'
_space_group_IT_number 140
_space_group_name_Hall '-I 4 2c'
_cell_length_a 8.9462
_cell_length_b 8.9462
_cell_length_c 16.5696
_cell_angle_alpha 90.00
_cell_angle_beta 90.00
_cell_angle_gamma 90.00
loop_
_atom_site_label
_atom_site_type_symbol
_atom_site_fract_x
_atom_site_fract_y
_atom_site_fract_z
_atom_site_occupancy
K1 K 0.0000 0.0000 0.0000 1
K2 K 0.1778 0.3222 0.1496 1
Hg1 Hg 0.1161 0.3839 0.5000 1
Au1 Au 0.0000 0.0000 0.2500 1
```

---

(2)
PmSiNi: simulated powder diffraction line list (copper Kα), based on the GGA-PBE geometry in Alexandria.

Principal peaks in the range 2θ = 10–80°, low angle first:
- 2θ 25.69, rel. 26, (1 0 0)
- 2θ 33.55, rel. 100, (1 0 2)
- 2θ 43.20, rel. 13, (0 0 4)
- 2θ 45.29, rel. 33, (1 1 0)
- 2θ 57.52, rel. 21, (2 0 2)
- 2θ 64.37, rel. 23, (1 1 4)
- 2θ 73.06, rel. 11, (1 0 6)
- 2θ 76.08, rel. 18, (2 1 2)

```
data_PmSiNi
_chemical_formula_sum 'Pm2 Si2 Ni2'
_space_group_name_H-M_alt 'P 63/m m c'
_space_group_IT_number 194
_space_group_name_Hall '-P 6c 2c'
_cell_length_a 4.0047
_cell_length_b 4.0047
_cell_length_c 8.3771
_cell_angle_alpha 90.00
_cell_angle_beta 90.00
_cell_angle_gamma 120.00
loop_
_atom_site_label
_atom_site_type_symbol
_atom_site_fract_x
_atom_site_fract_y
_atom_site_fract_z
_atom_site_occupancy
Pm1 Pm 0.0000 0.0000 0.0000 1
Si1 Si 0.3333 0.6667 0.2500 1
Ni1 Ni 0.3333 0.6667 0.7500 1
```